(1)
Starting from a structure optimized by DFT (GGA-PBE), the powder XRD pattern of InSn2Pb2 was computed for Cu Kα.
No peak broadening, texture or thermal motion is included.

Crystal structure
Lattice parameters (Å, degrees): 4.4798 4.4798 16.1036 90.00 90.00 90.00
Space group I4/mmm (No. 139)
Inequivalent atoms, fractional coordinates:
In 0.0000 0.0000 0.0000
Sn 0.0000 0.5000 0.2500
Pb 0.0000 0.0000 0.3960

Peak list (12 most intense, 2θ from 5° to 70°, low angle first)
- (1 0 1), d 4.316, 2θ = 20.58°, I = 49
- (1 0 3), d 3.439, 2θ = 25.90°, I = 50
- (1 1 0), d 3.168, 2θ = 28.17°, I = 22
- (1 1 2), d 2.948, 2θ = 30.32°, I = 100
- (1 0 5), d 2.615, 2θ = 34.29°, I = 91
- (1 1 4), d 2.489, 2θ = 36.08°, I = 67
- (2 0 0), d 2.240, 2θ = 40.26°, I = 64
- (2 1 5), d 1.701, 2θ = 53.90°, I = 51
- (2 2 0), d 1.584, 2θ = 58.25°, I = 22
- (2 0 8), d 1.497, 2θ = 61.98°, I = 19
- (1 1 10), d 1.436, 2θ = 64.96°, I = 31
- (3 1 2), d 1.395, 2θ = 67.08°, I = 21



(2)
Starting from a structure optimized by DFT (GGA-PBE), the powder XRD pattern of Al7Zn12Cd was computed for Cu Kα.
No peak broadening, texture or thermal motion is included.

Crystal structure
Lattice parameters (Å, degrees): 9.4633 9.4633 9.4633 90.00 90.00 90.00
Space group Im-3 (No. 204)
Inequivalent atoms, fractional coordinates:
Al 0.0000 0.0000 0.5000
Al 0.2500 0.2500 0.2500
Zn 0.0000 0.1465 0.2655
Cd 0.0000 0.0000 0.0000

Peak list (12 most intense, 2θ from 5° to 70°, low angle first)
- (1 1 0), d 6.692, 2θ = 13.23°, I = 100
- (2 1 1), d 3.863, 2θ = 23.02°, I = 11
- (3 1 0), d 2.993, 2θ = 29.86°, I = 51
- (2 2 2), d 2.732, 2θ = 32.78°, I = 16
- (3 2 1), d 2.529, 2θ = 35.49°, I = 68
- (4 0 0), d 2.366, 2θ = 38.04°, I = 31
- (4 1 1), d 2.231, 2θ = 40.44°, I = 22
- (4 2 0), d 2.116, 2θ = 42.73°, I = 62
- (3 3 2), d 2.018, 2θ = 44.93°, I = 13
- (4 2 2), d 1.932, 2θ = 47.04°, I = 53
- (5 3 0), d 1.623, 2θ = 56.72°, I = 18
- (5 3 2), d 1.535, 2θ = 60.29°, I = 16



(3)
Starting from a structure optimized by DFT (GGA-PBE), the powder XRD pattern of Na13Au2 was computed for Cu Kα.
No peak broadening, texture or thermal motion is included.

Crystal structure
Lattice parameters (Å, degrees): 9.1607 9.1607 20.3506 90.00 90.00 120.00
Space group R-3m (No. 166, hexagonal axes)
Inequivalent atoms, fractional coordinates:
Na 0.0000 0.0000 0.0000
Na 0.0642 0.5321 0.2372
Na 0.0791 0.5396 0.4187
Au 0.0000 0.0000 0.1386

Peak list (12 most intense, 2θ from 5° to 70°, low angle first)
- (1 0 1), d 7.392, 2θ = 11.97°, I = 100
- (0 0 3), d 6.784, 2θ = 13.05°, I = 53
- (1 1 0), d 4.580, 2θ = 19.38°, I = 69
- (1 0 4), d 4.283, 2θ = 20.74°, I = 45
- (1 1 3), d 3.796, 2θ = 23.43°, I = 64
- (2 1 1), d 2.967, 2θ = 30.13°, I = 62
- (1 0 7), d 2.728, 2θ = 32.83°, I = 50
- (2 1 4), d 2.583, 2θ = 34.73°, I = 53
- (3 0 3), d 2.464, 2θ = 36.47°, I = 20
- (2 2 0), d 2.290, 2θ = 39.34°, I = 28
- (0 3 6), d 2.086, 2θ = 43.37°, I = 30
- (2 0 11), d 1.677, 2θ = 54.73°, I = 24